Structure and simulated powder XRD pattern of BaCaCr4O12 (a crystal structure in Alexandria, relaxed with GGA+U; a wavelength of 1.5418 Å).
Neutral-atom scattering factors, no anomalous dispersion.

Most intense lines, 15° ≤ 2θ ≤ 90°, low angle first:
index	d [Å]	I/Imax
1 0 0	5.383	12
1 0 1	4.401	69
1 1 0	3.812	17
2 0 0	2.695	100
1 0 3	2.303	12
2 1 1	2.296	24
0 0 4	1.911	18
2 2 0	1.903	36
2 1 3	1.749	15
2 0 4	1.558	12
3 1 2	1.555	24
2 2 4	1.349	19

a b c (Å): 5.383 5.383 7.644
angles (deg): 90.00 90.00 90.00
Positions (direct):
Ba  0.000  0.000  0.000
Ca  0.500  0.500  0.500
Cr  0.000  0.500  0.254
Cr  0.000  0.500  0.746
Cr  0.500  0.000  0.254
Cr  0.500  0.000  0.746
O  0.000  0.500  0.000
O  0.000  0.500  0.500
O  0.254  0.254  0.260
O  0.254  0.254  0.740
O  0.254  0.746  0.260
O  0.254  0.746  0.740
O  0.500  0.000  0.000
O  0.500  0.000  0.500
O  0.746  0.254  0.260
O  0.746  0.254  0.740
O  0.746  0.746  0.260
O  0.746  0.746  0.740